(1)
Yb2Sn2O7: calculated powder diffraction line list (CuKα), based on a GGA-PBE-relaxed structure.
Peak positions follow from Bragg's law for the DFT cell and can differ from measured ones.

Structural model:
```
Yb2Sn2O7
1.0
0.000 5.258 5.258
5.258 0.000 5.258
5.258 5.258 0.000
Yb Sn O
4 4 14
Cartesian
0.000 0.000 0.000
2.629 2.629 0.000
2.629 0.000 2.629
0.000 2.629 2.629
5.258 2.629 2.629
2.629 5.258 2.629
2.629 2.629 5.258
5.258 5.258 5.258
1.315 1.315 1.315
3.944 3.944 1.705
3.944 1.705 3.944
6.182 3.944 3.944
6.573 6.573 4.334
6.573 4.334 6.573
8.811 6.573 6.573
1.705 3.944 3.944
3.944 6.182 3.944
3.944 3.944 6.182
4.334 6.573 6.573
6.573 8.811 6.573
6.573 6.573 8.811
9.202 9.202 9.202
```

Main lines, by angle (15 to 90 degrees two-theta):
- 2θ = 29.42°, intensity 100
- 2θ = 34.10°, intensity 34
- 2θ = 37.27°, intensity 3
- 2θ = 44.78°, intensity 1
- 2θ = 49.00°, intensity 48
- 2θ = 58.19°, intensity 45
- 2θ = 61.05°, intensity 11
- 2θ = 71.81°, intensity 7
- 2θ = 79.45°, intensity 19
- 2θ = 81.95°, intensity 15


(2)
La6NdDy2: calculated powder diffraction line list (CuKα), based on a GGA-PBE-relaxed structure.
Peak positions follow from Bragg's law for the DFT cell and can differ from measured ones.

Structural model:
```
La6NdDy2
1.0
3.676 0.000 0.000
-1.838 3.183 0.000
0.000 0.000 27.687
La Nd Dy
6 1 2
Cartesian
0.000 0.000 1.827
0.000 0.000 7.640
0.000 0.000 20.047
0.000 0.000 25.860
0.000 2.122 10.787
0.000 2.122 16.900
0.000 0.000 13.844
0.000 2.122 4.691
0.000 2.122 22.996
```

Main lines, by angle (15 to 90 degrees two-theta):
- 2θ = 28.03°, intensity 49
- 2θ = 29.03°, intensity 54
- 2θ = 30.92°, intensity 73
- 2θ = 32.44°, intensity 100
- 2θ = 34.22°, intensity 17
- 2θ = 40.79°, intensity 32
- 2θ = 49.60°, intensity 40
- 2θ = 54.63°, intensity 30
- 2θ = 58.50°, intensity 45
- 2θ = 60.52°, intensity 17


(3)
LiPmFeGe2: calculated powder diffraction line list (CuKα), based on a GGA-PBE-relaxed structure.
Peak positions follow from Bragg's law for the DFT cell and can differ from measured ones.

Structural model:
```
LiPmFeGe2
1.0
4.096 0.000 0.000
0.000 4.096 0.000
0.000 0.000 10.677
Li Pm Fe Ge
2 2 2 4
Cartesian
0.000 0.000 0.000
2.048 2.048 5.339
0.000 2.048 2.669
2.048 0.000 8.008
0.000 0.000 5.339
2.048 2.048 0.000
0.000 2.048 6.721
0.000 2.048 9.295
2.048 0.000 1.382
2.048 0.000 3.956
```

Main lines, by angle (15 to 90 degrees two-theta):
- 2θ = 16.61°, intensity 17
- 2θ = 23.26°, intensity 18
- 2θ = 30.87°, intensity 53
- 2θ = 33.35°, intensity 100
- 2θ = 35.25°, intensity 66
- 2θ = 44.22°, intensity 47
- 2θ = 48.05°, intensity 42
- 2θ = 56.50°, intensity 44
- 2θ = 64.33°, intensity 15
- 2θ = 67.35°, intensity 30


(4)
Ba2ZnSbPd6: calculated powder diffraction line list (CuKα), based on a GGA-PBE-relaxed structure.
Peak positions follow from Bragg's law for the DFT cell and can differ from measured ones.

Structural model:
```
Ba2ZnSbPd6
1.0
6.359 -2.900 0.000
6.359 2.900 0.000
-5.812 0.000 6.386
Ba Zn Sb Pd
2 1 1 6
Cartesian
1.412 0.000 1.810
5.495 0.000 4.576
6.359 0.000 0.000
-2.906 0.000 3.193
4.729 1.383 1.479
-1.960 0.000 5.706
2.178 1.383 4.906
4.729 -1.383 1.479
8.867 0.000 0.679
2.178 -1.383 4.906
```

Main lines, by angle (15 to 90 degrees two-theta):
- 2θ = 26.43°, intensity 42
- 2θ = 26.55°, intensity 29
- 2θ = 27.50°, intensity 68
- 2θ = 27.94°, intensity 30
- 2θ = 36.39°, intensity 80
- 2θ = 37.35°, intensity 100
- 2θ = 38.28°, intensity 76
- 2θ = 39.75°, intensity 44
- 2θ = 40.00°, intensity 37
- 2θ = 54.42°, intensity 29